(1)
Starting from a crystal structure in the Materials Project, relaxed with GGA-PBE, the powder XRD pattern of Rb2ScAuF6 was computed for Cu Kα, 1.54184 Å.
Lines closer than 0.1° are merged.

Top 10 peaks for 10° ≤ 2θ ≤ 90°, in order of rising 2θ:
| 2theta | I/Imax |
| --- | --- |
| 16.93 | 24 |
| 19.58 | 10 |
| 27.82 | 100 |
| 32.75 | 23 |
| 39.76 | 37 |
| 43.50 | 14 |
| 49.22 | 40 |
| 57.48 | 23 |
| 65.05 | 20 |
| 79.01 | 22 |

Crystal structure
```
10
Lattice="0.000 4.534 4.534 4.534 0.000 4.534 4.534 4.534 0.000" Properties=species:S:1:pos:R:3 pbc="T T T"
Rb 2.267 2.267 2.267
Rb 6.802 6.802 6.802
Sc 0.000 0.000 0.000
Au 4.534 4.534 4.534
F 4.534 4.534 2.033
F 4.534 2.033 4.534
F 7.036 4.534 4.534
F 2.033 4.534 4.534
F 4.534 7.036 4.534
F 4.534 4.534 7.036
```

***

(2)
Starting from a crystal structure in the Materials Project, relaxed with GGA-PBE, the powder XRD pattern of Ba2TbCeO6 was computed for Cu Kα, 1.54184 Å.
Lines closer than 0.1° are merged.

Top 10 peaks for 10° ≤ 2θ ≤ 90°, in order of rising 2θ:
| 2theta | I/Imax |
| --- | --- |
| 19.97 | 2 |
| 28.39 | 100 |
| 40.59 | 30 |
| 45.63 | 1 |
| 50.27 | 42 |
| 58.75 | 19 |
| 66.51 | 18 |
| 73.84 | 6 |
| 80.91 | 22 |
| 87.84 | 3 |

Crystal structure
```
10
Lattice="0.000 4.446 4.446 4.446 0.000 4.446 4.446 4.446 0.000" Properties=species:S:1:pos:R:3 pbc="T T T"
Ba 2.223 2.223 2.223
Ba 6.668 6.668 6.668
Tb 0.000 0.000 0.000
Ce 4.446 4.446 4.446
O 4.446 4.446 2.240
O 4.446 2.240 4.446
O 6.651 4.446 4.446
O 2.240 4.446 4.446
O 4.446 6.651 4.446
O 4.446 4.446 6.651
```

***

(3)
Starting from a crystal structure in the Materials Project, relaxed with GGA-PBE, the powder XRD pattern of LiCeO2 was computed for Cu Kα, 1.54184 Å.
Lines closer than 0.1° are merged.

Top 10 peaks for 10° ≤ 2θ ≤ 90°, in order of rising 2θ:
| 2theta | I/Imax |
| --- | --- |
| 21.35 | 39 |
| 21.50 | 29 |
| 24.23 | 100 |
| 28.82 | 93 |
| 31.74 | 52 |
| 33.51 | 42 |
| 34.85 | 51 |
| 35.39 | 28 |
| 43.83 | 32 |
| 47.69 | 45 |

Crystal structure
```
16
Lattice="5.890 0.000 0.000 0.000 6.072 0.000 -1.413 0.000 5.643" Properties=species:S:1:pos:R:3 pbc="T T T"
Li 0.718 0.804 1.025
Li 0.011 2.232 3.847
Li 4.465 3.841 1.796
Li 3.758 5.268 4.618
Ce 1.483 3.476 1.101
Ce 0.777 5.632 3.922
Ce 3.700 0.440 1.721
Ce 2.993 2.596 4.543
O -0.747 3.870 4.550
O -0.040 5.239 1.729
O 1.023 1.499 5.567
O 1.730 1.537 2.745
O 2.747 4.535 2.898
O 3.453 4.573 0.076
O 4.516 0.834 3.914
O 5.223 2.203 1.093
```

***

(4)
Starting from a crystal structure in the Materials Project, relaxed with GGA-PBE, the powder XRD pattern of SmMn2 was computed for Cu Kα, 1.54184 Å.
Lines closer than 0.1° are merged.

Top 10 peaks for 10° ≤ 2θ ≤ 90°, in order of rising 2θ:
| 2theta | I/Imax |
| --- | --- |
| 28.87 | 17 |
| 33.27 | 66 |
| 37.94 | 79 |
| 38.60 | 16 |
| 39.96 | 100 |
| 40.17 | 49 |
| 62.56 | 38 |
| 63.98 | 24 |
| 69.80 | 47 |
| 82.35 | 16 |

Crystal structure
```
12
Lattice="5.386 0.000 0.000 -2.693 4.665 0.000 0.000 0.000 8.262" Properties=species:S:1:pos:R:3 pbc="T T T"
Sm 0.000 3.110 0.480
Sm 0.000 3.110 3.651
Sm 2.693 1.555 4.611
Sm 2.693 1.555 7.781
Mn 0.000 0.000 0.000
Mn 0.000 0.000 4.131
Mn 0.000 1.515 6.196
Mn -1.381 3.907 6.196
Mn 1.312 0.758 2.065
Mn 1.381 3.907 6.196
Mn 4.074 0.758 2.065
Mn 2.693 3.149 2.065
```

***

(5)
Starting from a crystal structure in the Materials Project, relaxed with GGA-PBE, the powder XRD pattern of KUSiO7 was computed for Cu Kα, 1.54184 Å.
Lines closer than 0.1° are merged.

Top 10 peaks for 10° ≤ 2θ ≤ 90°, in order of rising 2θ:
| 2theta | I/Imax |
| --- | --- |
| 13.04 | 100 |
| 13.50 | 24 |
| 16.32 | 24 |
| 18.50 | 29 |
| 24.57 | 27 |
| 25.32 | 24 |
| 26.24 | 22 |
| 28.58 | 40 |
| 30.05 | 68 |
| 47.67 | 22 |

Crystal structure
```
20
Lattice="6.765 0.000 0.000 0.000 7.035 0.000 -1.724 0.000 6.792" Properties=species:S:1:pos:R:3 pbc="T T T"
K 1.394 0.000 0.405
K 3.647 3.517 6.387
U 0.012 4.853 3.555
U 5.029 1.335 3.237
Si 1.396 1.325 3.885
Si 3.645 4.842 2.907
O 0.154 4.790 1.727
O -0.307 4.959 5.359
O 0.390 0.103 3.424
O 0.385 2.602 3.682
O 2.376 2.908 1.132
O 1.828 1.182 5.480
O 2.295 4.941 3.834
O 2.746 1.423 2.957
O 3.213 4.699 1.311
O 2.664 6.425 5.660
O 4.656 6.119 3.110
O 4.651 3.621 3.367
O 5.348 1.441 1.433
O 4.886 1.272 5.065
```

***

(6)
Starting from a crystal structure in the Materials Project, relaxed with GGA-PBE, the powder XRD pattern of Th2Ni17 was computed for Cu Kα, 1.54184 Å.
Lines closer than 0.1° are merged.

Top 10 peaks for 10° ≤ 2θ ≤ 90°, in order of rising 2θ:
| 2theta | I/Imax |
| --- | --- |
| 30.85 | 55 |
| 37.41 | 45 |
| 41.88 | 36 |
| 43.46 | 62 |
| 43.83 | 100 |
| 44.91 | 30 |
| 47.47 | 17 |
| 63.43 | 21 |
| 64.27 | 19 |
| 82.07 | 20 |

Crystal structure
```
38
Lattice="8.328 0.000 0.000 -4.164 7.213 0.000 0.000 0.000 8.074" Properties=species:S:1:pos:R:3 pbc="T T T"
Th 0.000 0.000 2.018
Th 0.000 0.000 6.055
Th 0.000 4.808 2.018
Th 4.164 2.404 6.055
Ni -2.082 3.606 0.000
Ni -2.082 3.606 4.037
Ni -1.182 2.688 6.055
Ni -2.428 4.845 6.055
Ni 0.000 2.388 0.162
Ni 0.000 2.388 3.875
Ni -2.096 6.018 0.162
Ni -2.096 6.018 3.875
Ni 1.182 2.688 6.055
Ni -1.245 6.893 6.055
Ni 2.068 1.194 4.199
Ni 2.068 1.194 7.912
Ni 0.000 4.808 4.859
Ni 0.000 4.808 7.251
Ni 2.919 0.320 2.018
Ni 1.737 2.368 2.018
Ni 4.164 0.000 0.000
Ni 4.164 0.000 4.037
Ni 2.082 3.606 0.000
Ni 2.082 3.606 4.037
Ni 2.428 4.845 6.055
Ni 1.245 6.893 6.055
Ni 4.164 2.404 0.822
Ni 4.164 2.404 3.215
Ni 2.096 6.018 0.162
Ni 2.096 6.018 3.875
Ni 5.409 0.320 2.018
Ni 2.982 4.525 2.018
Ni 6.260 1.194 4.199
Ni 6.260 1.194 7.912
Ni 4.164 4.824 4.199
Ni 4.164 4.824 7.912
Ni 6.592 2.368 2.018
Ni 5.347 4.525 2.018
```

***

(7)
Starting from a crystal structure in the Materials Project, relaxed with GGA-PBE, the powder XRD pattern of CsMo3Br3Cl4 was computed for Cu Kα, 1.54184 Å.
Lines closer than 0.1° are merged.

Top 10 peaks for 10° ≤ 2θ ≤ 90°, in order of rising 2θ:
| 2theta | I/Imax |
| --- | --- |
| 11.19 | 22 |
| 11.38 | 100 |
| 14.97 | 79 |
| 20.57 | 47 |
| 28.45 | 45 |
| 30.01 | 50 |
| 36.71 | 25 |
| 41.23 | 20 |
| 41.83 | 49 |
| 47.62 | 31 |

Crystal structure
```
44
Lattice="10.313 0.000 0.000 -5.156 8.931 0.000 0.000 0.000 15.810" Properties=species:S:1:pos:R:3 pbc="T T T"
Cs 0.000 0.000 0.000
Cs 0.000 0.000 7.905
Cs 0.000 5.954 3.574
Cs 5.156 2.977 11.479
Mo -0.816 4.672 10.498
Mo -1.520 6.006 12.641
Mo 0.715 4.612 12.641
Mo -0.702 7.302 10.498
Mo 1.518 5.888 10.498
Mo 0.805 7.245 12.641
Mo 3.636 2.925 4.736
Mo 4.455 1.629 2.592
Mo 4.340 4.259 2.592
Mo 5.961 1.686 4.736
Mo 5.872 4.319 4.736
Mo 6.674 3.043 2.592
Br -3.330 6.216 6.137
Br -1.448 3.217 1.182
Br 1.438 2.939 6.137
Br -1.647 8.577 1.182
Br 1.826 2.715 14.042
Br 3.510 0.354 9.087
Br 3.095 6.068 1.182
Br 1.892 8.707 6.137
Br 3.708 5.714 9.087
Br 7.049 0.224 14.042
Br 8.251 2.863 9.087
Br 6.595 5.992 14.042
Cl -1.514 3.510 12.606
Cl -2.874 6.088 10.531
Cl 1.322 3.398 10.531
Cl 0.000 5.954 8.525
Cl 0.000 5.954 14.606
Cl -1.360 8.488 12.606
Cl 2.282 2.844 2.626
Cl 3.797 0.443 4.700
Cl 2.874 5.865 12.606
Cl 1.553 8.376 10.531
Cl 3.642 5.421 4.700
Cl 5.156 2.977 0.620
Cl 5.156 2.977 6.701
Cl 6.709 0.555 2.626
Cl 6.478 5.533 2.626
Cl 8.030 3.066 4.700
```

***

(8)
Starting from a crystal structure in the Materials Project, relaxed with GGA-PBE, the powder XRD pattern of CaAg2O4 was computed for Cu Kα, 1.54184 Å.
Lines closer than 0.1° are merged.

Top 10 peaks for 10° ≤ 2θ ≤ 90°, in order of rising 2θ:
| 2theta | I/Imax |
| --- | --- |
| 17.03 | 82 |
| 30.13 | 46 |
| 34.26 | 100 |
| 34.44 | 100 |
| 46.98 | 22 |
| 52.73 | 18 |
| 55.44 | 20 |
| 56.08 | 37 |
| 62.65 | 20 |
| 72.18 | 26 |

Crystal structure
```
14
Lattice="-3.028 3.028 5.103 3.028 -3.028 5.103 3.028 3.028 -5.103" Properties=species:S:1:pos:R:3 pbc="T T T"
Ca 0.000 1.514 1.276
Ca 3.028 1.514 3.827
Ag 1.514 1.514 -2.551
Ag 1.514 -1.514 2.551
Ag 3.028 0.000 0.000
Ag 0.000 0.000 5.103
O 4.821 0.592 -0.755
O 3.949 0.279 1.796
O 1.234 2.436 -0.755
O 0.922 0.279 3.306
O 2.106 2.748 1.796
O 1.793 0.592 5.858
O -0.922 2.748 3.306
O -1.793 2.436 5.858
```

***

Which formula does entry 5 have? KUSiO7

***

What did the third record say?
Starting from a crystal structure in the Materials Project, relaxed with GGA-PBE, the powder XRD pattern of LiCeO2 was computed for Cu Kα, 1.54184 Å.
Lines closer than 0.1° are merged.

Top 10 peaks for 10° ≤ 2θ ≤ 90°, in order of rising 2θ:
| 2theta | I/Imax |
| --- | --- |
| 21.35 | 39 |
| 21.50 | 29 |
| 24.23 | 100 |
| 28.82 | 93 |
| 31.74 | 52 |
| 33.51 | 42 |
| 34.85 | 51 |
| 35.39 | 28 |
| 43.83 | 32 |
| 47.69 | 45 |

Crystal structure
```
16
Lattice="5.890 0.000 0.000 0.000 6.072 0.000 -1.413 0.000 5.643" Properties=species:S:1:pos:R:3 pbc="T T T"
Li 0.718 0.804 1.025
Li 0.011 2.232 3.847
Li 4.465 3.841 1.796
Li 3.758 5.268 4.618
Ce 1.483 3.476 1.101
Ce 0.777 5.632 3.922
Ce 3.700 0.440 1.721
Ce 2.993 2.596 4.543
O -0.747 3.870 4.550
O -0.040 5.239 1.729
O 1.023 1.499 5.567
O 1.730 1.537 2.745
O 2.747 4.535 2.898
O 3.453 4.573 0.076
O 4.516 0.834 3.914
O 5.223 2.203 1.093
```